Simulated PXRD pattern
Compound: GaNiOs
Radiation: copper Kα
Structure: the GGA-PBE geometry in Alexandria
Peak positions follow from Bragg's law for the DFT cell and can differ from measured ones.

Principal peaks in the range 2θ = 15–90°, by angle:
Position (°2θ)  I/Imax
33.2  16
41.0  100
41.9  91
42.6  18
47.4  64
50.1  28
71.4  37
83.1  26
85.0  21
88.9  14

Structure:
```
GaNiOs
1.0
2.762 0.000 0.000
0.000 3.645 0.000
0.000 0.000 8.011
Ga Ni Os
2 2 2
direct
0.000 0.000 0.000
0.000 0.000 0.335
0.500 0.500 0.153
0.500 0.500 0.478
0.000 0.000 0.658
0.500 0.500 0.810
```

=====

Simulated PXRD pattern
Compound: Ac4Cu3Bi8
Radiation: copper Kα
Structure: the GGA-PBE geometry in Alexandria
Peak positions follow from Bragg's law for the DFT cell and can differ from measured ones.

Principal peaks in the range 2θ = 15–90°, by angle:
Position (°2θ)  I/Imax
25.9  25
28.1  49
31.9  100
32.2  34
38.1  55
46.7  22
50.7  20
55.0  20
63.0  28
65.0  27

Structure:
```
Ac4Cu3Bi8
1.0
4.721 0.000 0.000
0.000 4.721 0.000
0.000 0.000 20.632
Ac Cu Bi
4 3 8
direct
0.000 0.500 0.114
0.000 0.500 0.620
0.500 0.000 0.380
0.500 0.000 0.886
0.000 0.000 0.000
0.000 0.000 0.500
0.500 0.500 0.500
0.000 0.000 0.248
0.000 0.000 0.752
0.000 0.500 0.426
0.000 0.500 0.932
0.500 0.000 0.068
0.500 0.000 0.574
0.500 0.500 0.248
0.500 0.500 0.752
```

=====

Simulated PXRD pattern
Compound: Ti13Zn2
Radiation: copper Kα
Structure: the GGA-PBE geometry in Alexandria
Peak positions follow from Bragg's law for the DFT cell and can differ from measured ones.

Principal peaks in the range 2θ = 15–90°, by angle:
Position (°2θ)  I/Imax
22.7  14
38.4  56
38.7  100
39.5  30
42.8  62
51.1  18
51.9  27
60.9  18
77.0  22
77.2  12

Structure:
```
Ti13Zn2
1.0
3.574 2.063 6.748
-3.574 2.063 6.748
0.000 -4.127 6.748
Ti Zn
13 2
direct
0.000 0.000 0.000
0.108 0.108 0.494
0.108 0.494 0.108
0.244 0.244 0.619
0.244 0.619 0.244
0.381 0.756 0.756
0.494 0.108 0.108
0.506 0.892 0.892
0.619 0.244 0.244
0.756 0.381 0.756
0.756 0.756 0.381
0.892 0.506 0.892
0.892 0.892 0.506
0.130 0.130 0.130
0.870 0.870 0.870
```

=====

Simulated PXRD pattern
Compound: K2NpB2S6
Radiation: copper Kα
Structure: the GGA-PBE geometry in Alexandria
Peak positions follow from Bragg's law for the DFT cell and can differ from measured ones.

Principal peaks in the range 2θ = 15–90°, by angle:
Position (°2θ)  I/Imax
15.0  50
19.5  100
26.2  28
29.0  25
29.2  44
32.9  43
39.6  31
42.5  30
46.5  19
48.1  22

Structure:
```
K2NpB2S6
1.0
6.809 0.000 0.000
-3.405 5.897 0.000
0.000 0.000 7.161
K Np B S
2 1 2 6
direct
0.333 0.667 0.323
0.667 0.333 0.677
0.000 0.000 0.000
0.333 0.667 0.796
0.667 0.333 0.204
0.138 0.363 0.776
0.225 0.862 0.776
0.363 0.225 0.224
0.637 0.775 0.776
0.775 0.138 0.224
0.862 0.637 0.224
```

=====

Repeat the first record exactly.
Simulated PXRD pattern
Compound: GaNiOs
Radiation: copper Kα
Structure: the GGA-PBE geometry in Alexandria
Peak positions follow from Bragg's law for the DFT cell and can differ from measured ones.

Principal peaks in the range 2θ = 15–90°, by angle:
Position (°2θ)  I/Imax
33.2  16
41.0  100
41.9  91
42.6  18
47.4  64
50.1  28
71.4  37
83.1  26
85.0  21
88.9  14

Structure:
```
GaNiOs
1.0
2.762 0.000 0.000
0.000 3.645 0.000
0.000 0.000 8.011
Ga Ni Os
2 2 2
direct
0.000 0.000 0.000
0.000 0.000 0.335
0.500 0.500 0.153
0.500 0.500 0.478
0.000 0.000 0.658
0.500 0.500 0.810
```